For V3Pb5F19, a crystal structure in the Materials Project, relaxed with PBE+U gives the computed PXRD pattern in this record (Cu Ka).
Peak positions follow from Bragg's law for the DFT cell and can differ from measured ones.

Structural model:
```
data_V3Pb5F19
_chemical_formula_sum 'V12 Pb20 F76'
_symmetry_space_group_name_H-M 'I 4 c m'
_symmetry_Int_Tables_number 108
_symmetry_space_group_name_Hall 'I 4 -2c'
_cell_length_a 14.7453
_cell_length_b 14.7453
_cell_length_c 7.7696
_cell_angle_alpha 90.00
_cell_angle_beta 90.00
_cell_angle_gamma 90.00
loop_
_atom_site_label
_atom_site_fract_x
_atom_site_fract_y
_atom_site_fract_z
_atom_site_occupancy
V1 0.0000 0.0000 0.0000 1
V2 0.1623 0.3377 0.1934 1
Pb1 0.0000 0.5000 0.0354 1
Pb2 0.0692 0.2293 0.6471 1
F1 0.0000 0.0000 0.2510 1
F2 0.0580 0.1205 0.0089 1
F3 0.0650 0.3070 0.0253 1
F4 0.0733 0.4267 0.2823 1
F5 0.1044 0.2467 0.3492 1
F6 0.1138 0.3862 0.6518 1
F7 0.2470 0.2530 0.6311 1
```

Main lines, in order of rising 2θ (2θ from 10° to 90°):
hkl  2theta  d (Å)  I (rel.)
2 1 1  17.64  5.028  31
0 0 2  22.89  3.885  70
4 0 0  24.14  3.686  29
3 2 1  24.60  3.619  70
4 2 0  27.04  3.297  65
4 1 1  27.46  3.249  100
2 2 2  28.66  3.115  36
5 4 1  40.87  2.208  28
6 3 1  42.74  2.116  48
4 1 3  43.13  2.098  43

***

For Sr4Fe2MoWO12, a crystal structure in the Materials Project, relaxed with PBE+U gives the computed PXRD pattern in this record (Cu Ka).
Peak positions follow from Bragg's law for the DFT cell and can differ from measured ones.

Structural model:
```
data_Sr4Fe2MoWO12
_chemical_formula_sum 'Sr4 Fe2 Mo1 W1 O12'
_symmetry_space_group_name_H-M 'P -1'
_symmetry_Int_Tables_number 2
_cell_length_a 5.6362
_cell_length_b 5.6827
_cell_length_c 9.8347
_cell_angle_alpha 89.22
_cell_angle_beta 73.42
_cell_angle_gamma 60.49
loop_
_symmetry_equiv_pos_as_xyz
'x,y,z'
'-x,-y,-z'
loop_
_atom_site_label
_atom_site_fract_x
_atom_site_fract_y
_atom_site_fract_z
_atom_site_occupancy
Sr1 0.2455 0.1265 0.3851 1
Sr2 0.2542 0.6252 0.8625 1
Fe1 0.0006 0.2483 0.7464 1
Mo1 0.5000 0.5000 0.5000 1
W1 0.5000 0.0000 0.0000 1
O1 0.2052 0.4032 0.6138 1
O2 0.2281 0.8879 0.0999 1
O3 0.2424 0.8856 0.6333 1
O4 0.2589 0.3594 0.1193 1
O5 0.2879 0.1421 0.8639 1
O6 0.2877 0.6400 0.3535 1
```

Main lines, in order of rising 2θ (2θ from 10° to 90°):
hkl  2theta  d (Å)  I (rel.)
0 1 -1  19.18  4.628  19
1 0 -2  31.28  2.859  98
1 -1 1  31.39  2.850  49
1 2 0  31.49  2.841  49
2 1 1  31.73  2.820  100
0 2 2  44.40  2.040  35
2 2 -2  45.48  1.994  62
0 3 -1  55.76  1.649  20
3 1 -1  56.23  1.636  20
1 -2 4  56.38  1.632  29

***

For MgMn2O4, a crystal structure in the Materials Project, relaxed with PBE+U gives the computed PXRD pattern in this record (Cu Ka).
Peak positions follow from Bragg's law for the DFT cell and can differ from measured ones.

Structural model:
```
data_MgMn2O4
_chemical_formula_sum 'Mg4 Mn8 O16'
_symmetry_space_group_name_H-M 'P 1 21/c 1'
_symmetry_Int_Tables_number 14
_cell_length_a 5.7197
_cell_length_b 10.8634
_cell_length_c 5.7592
_cell_angle_alpha 90.00
_cell_angle_beta 118.84
_cell_angle_gamma 90.00
loop_
_symmetry_equiv_pos_as_xyz
'x,y,z'
'-x,-y,-z'
'-x,y+1/2,-z+1/2'
'x,-y+1/2,z+1/2'
loop_
_atom_site_label
_atom_site_fract_x
_atom_site_fract_y
_atom_site_fract_z
_atom_site_occupancy
Mg1 0.1612 0.1135 0.0428 1
Mn1 0.1220 0.6212 0.0060 1
Mn2 0.4298 0.1429 0.5949 1
O1 0.0708 0.2086 0.3390 1
O2 0.2279 0.5547 0.7439 1
O3 0.2286 0.0528 0.7339 1
O4 0.4754 0.6913 0.1818 1
```

Main lines, in order of rising 2θ (2θ from 10° to 90°):
hkl  2theta  d (Å)  I (rel.)
0 1 1  19.40  4.576  100
0 3 1  30.38  2.942  59
1 0 -2  31.07  2.879  22
0 4 0  32.98  2.716  50
1 2 1  34.88  2.572  27
2 2 -1  35.48  2.530  59
0 4 2  49.30  1.848  29
2 2 1  50.74  1.799  29
2 2 -3  51.52  1.774  36
2 6 -1  60.53  1.530  35

***

For Li9Co7O16, a crystal structure in the Materials Project, relaxed with PBE+U gives the computed PXRD pattern in this record (Cu Ka).
Peak positions follow from Bragg's law for the DFT cell and can differ from measured ones.

Structural model:
```
data_Li9Co7O16
_chemical_formula_sum 'Li9 Co7 O16'
_symmetry_space_group_name_H-M 'P -1'
_symmetry_Int_Tables_number 2
_cell_length_a 5.0703
_cell_length_b 5.8365
_cell_length_c 9.9414
_cell_angle_alpha 90.24
_cell_angle_beta 100.00
_cell_angle_gamma 106.44
loop_
_symmetry_equiv_pos_as_xyz
'x,y,z'
'-x,-y,-z'
loop_
_atom_site_label
_atom_site_fract_x
_atom_site_fract_y
_atom_site_fract_z
_atom_site_occupancy
Li1 0.0000 0.0000 0.0000 1
Li2 0.4927 0.3732 0.1204 1
Li3 0.4968 0.1233 0.8793 1
Li4 0.4965 0.6241 0.3736 1
Li5 0.4984 0.8745 0.6250 1
Co1 0.0000 0.0000 0.5000 1
Co2 0.0000 0.5000 0.0000 1
Co3 0.0000 0.5000 0.5000 1
Co4 0.0018 0.2472 0.2459 1
Co5 0.0042 0.2487 0.7590 1
O1 0.2129 0.5655 0.6815 1
O2 0.2194 0.7881 0.9266 1
O3 0.2245 0.5416 0.1829 1
O4 0.2261 0.3071 0.4276 1
O5 0.2272 0.0725 0.1964 1
O6 0.2280 0.3202 0.9325 1
O7 0.2276 0.8071 0.4355 1
O8 0.2297 0.0454 0.6913 1
```

Main lines, in order of rising 2θ (2θ from 10° to 90°):
hkl  2theta  d (Å)  I (rel.)
1 0 0  18.56  4.782  100
0 2 -2  36.11  2.487  14
-1 2 2  36.29  2.475  14
0 0 4  36.78  2.444  12
0 2 2  37.97  2.370  8
1 2 -2  43.68  2.072  28
-2 2 2  43.96  2.060  27
1 0 4  44.61  2.031  25
1 2 2  48.25  1.886  8
1 -4 0  63.82  1.458  14

***

For MgCo4Sb2O12, a crystal structure in the Materials Project, relaxed with PBE+U gives the computed PXRD pattern in this record (Cu Ka).
Peak positions follow from Bragg's law for the DFT cell and can differ from measured ones.

Structural model:
```
data_MgCo4Sb2O12
_chemical_formula_sum 'Mg1 Co4 Sb2 O12'
_symmetry_space_group_name_H-M 'P 1'
_symmetry_Int_Tables_number 1
_cell_length_a 5.1446
_cell_length_b 5.1935
_cell_length_c 10.0110
_cell_angle_alpha 85.39
_cell_angle_beta 81.65
_cell_angle_gamma 61.33
loop_
_symmetry_equiv_pos_as_xyz
'x,y,z'
loop_
_atom_site_label
_atom_site_fract_x
_atom_site_fract_y
_atom_site_fract_z
_atom_site_occupancy
Mg1 0.0000 0.0000 0.0000 1
Co1 0.2644 0.3265 0.2492 1
Co2 0.3928 0.9834 0.7326 1
Co3 0.7377 0.3149 0.7488 1
Co4 0.9250 0.9959 0.2599 1
Sb1 0.0681 0.6496 0.7476 1
Sb2 0.5951 0.6678 0.2537 1
O1 0.0277 0.3079 0.8528 1
O2 0.1171 0.9633 0.6362 1
O3 0.2234 0.6584 0.3461 1
O4 0.2681 0.0021 0.1479 1
O5 0.3320 0.6830 0.8662 1
O6 0.4382 0.3203 0.6564 1
O7 0.5781 0.9880 0.3557 1
O8 0.6386 0.3102 0.1530 1
O9 0.7210 0.9918 0.8545 1
O10 0.7603 0.6347 0.6533 1
O11 0.9167 0.3235 0.3469 1
O12 0.9398 0.7070 0.1431 1
```

Main lines, in order of rising 2θ (2θ from 10° to 90°):
hkl  2theta  d (Å)  I (rel.)
0 0 2  17.91  4.952  100
1 -1 1  34.71  2.584  13
1 2 1  35.11  2.556  11
2 1 0  35.27  2.545  10
-1 1 1  35.88  2.503  11
1 2 -1  36.64  2.452  9
2 1 2  37.31  2.410  9
2 1 -2  42.23  2.140  10
1 -1 3  42.53  2.125  9
1 2 -3  46.39  1.957  9

***

For BaMgMnV2Ag2O8, a crystal structure in the Materials Project, relaxed with PBE+U gives the computed PXRD pattern in this record (Cu Ka).
Peak positions follow from Bragg's law for the DFT cell and can differ from measured ones.

Structural model:
```
data_BaMgMnV2Ag2O8
_chemical_formula_sum 'Ba1 Mg1 Mn1 V2 Ag2 O8'
_symmetry_space_group_name_H-M 'P 1'
_symmetry_Int_Tables_number 1
_cell_length_a 5.7029
_cell_length_b 5.7354
_cell_length_c 7.6469
_cell_angle_alpha 97.40
_cell_angle_beta 90.76
_cell_angle_gamma 114.98
loop_
_symmetry_equiv_pos_as_xyz
'x,y,z'
loop_
_atom_site_label
_atom_site_fract_x
_atom_site_fract_y
_atom_site_fract_z
_atom_site_occupancy
Ba1 0.0000 0.0000 0.0000 1
Mg1 0.4505 0.4782 0.8136 1
Mn1 0.1003 0.1762 0.4501 1
V1 0.4811 0.9093 0.6926 1
V2 0.7205 0.4469 0.2005 1
Ag1 0.4134 0.7904 0.2553 1
Ag2 0.8993 0.6114 0.5799 1
O1 0.2637 0.5540 0.6113 1
O2 0.3316 0.1285 0.6794 1
O3 0.3801 0.3582 0.2441 1
O4 0.4781 0.8291 0.9209 1
O5 0.7340 0.4763 0.9645 1
O6 0.7985 0.9600 0.6357 1
O7 0.8006 0.2030 0.2858 1
O8 0.9875 0.7731 0.2882 1
```

Main lines, in order of rising 2θ (2θ from 10° to 90°):
hkl  2theta  d (Å)  I (rel.)
0 1 0  17.24  5.144  35
1 0 -2  28.20  3.164  32
1 1 -1  30.14  2.965  55
1 0 2  30.35  2.945  63
-1 1 2  31.07  2.879  45
2 -1 0  31.51  2.839  100
1 -2 1  32.34  2.768  24
0 1 -3  37.32  2.409  49
0 2 1  38.63  2.331  28
2 0 -3  48.63  1.872  27

***

For CoF3, a crystal structure in the Materials Project, relaxed with PBE+U gives the computed PXRD pattern in this record (Cu Ka).
Peak positions follow from Bragg's law for the DFT cell and can differ from measured ones.

Structural model:
```
data_CoF3
_chemical_formula_sum 'Co3 F9'
_symmetry_space_group_name_H-M 'P 3 2 1'
_symmetry_Int_Tables_number 150
_cell_length_a 5.1156
_cell_length_b 5.1156
_cell_length_c 6.7889
_cell_angle_alpha 90.00
_cell_angle_beta 90.00
_cell_angle_gamma 120.00
loop_
_symmetry_equiv_pos_as_xyz
'x,y,z'
'-y,x-y,z'
'-x+y,-x,z'
'y,x,-z'
'x-y,-y,-z'
'-x,-x+y,-z'
loop_
_atom_site_label
_atom_site_fract_x
_atom_site_fract_y
_atom_site_fract_z
_atom_site_occupancy
Co1 0.0000 0.0000 0.0000 1
Co2 0.3333 0.6667 0.3381 1
F1 0.0000 0.6147 0.5000 1
F2 0.0634 0.3278 0.1772 1
```

Main lines, in order of rising 2θ (2θ from 10° to 90°):
hkl  2theta  d (Å)  I (rel.)
0 1 1  23.99  3.710  100
1 0 2  33.25  2.694  20
1 1 0  35.08  2.558  10
1 1 1  37.58  2.394  8
0 2 2  49.11  1.855  19
1 1 3  54.11  1.695  26
1 2 1  56.61  1.626  14
2 1 2  61.78  1.502  9
3 0 0  62.94  1.477  9
3 1 1  79.23  1.209  8